V3CrO8: computed XRD peak list (Cu Kα), based on a crystal structure in the Materials Project, relaxed with PBE+U.

Atomic structure:
a b c (Å): 5.8082 5.8090 5.8234
angles (deg): 60.25 61.08 87.12
Positions (direct):
V  0.0000  0.0000  0.0000
V  0.2546  0.7388  0.5041
V  0.6270  0.8657  0.7542
Cr  0.1238  0.3689  0.2541
O  0.3455  0.0863  0.2876
O  0.3451  0.0877  0.7880
O  0.3692  0.6160  0.2461
O  0.3706  0.6173  0.7798
O  0.8803  0.1185  0.7283
O  0.8820  0.1192  0.2619
O  0.9035  0.6528  0.2172
O  0.9098  0.6456  0.7172

Top 8 peaks for 2θ = 10–80°, by angle:
d_spacing, I (rel.)
4.923, 59
4.883, 45
4.003, 52
2.910, 100
2.620, 39
2.601, 39
2.570, 74
1.449, 38

=====

Li9Mn2Co5O16: computed XRD peak list (Cu Kα), based on a crystal structure in the Materials Project, relaxed with PBE+U.

Atomic structure:
a b c (Å): 5.9146 6.4606 7.8714
angles (deg): 88.74 76.57 75.21
Positions (direct):
Li  0.0000  0.0000  0.0000
Li  0.0016  0.5063  0.4962
Li  0.1237  0.3719  0.1205
Li  0.2436  0.2440  0.7582
Li  0.3710  0.1228  0.3683
Li  0.4953  0.0007  0.0016
Li  0.6239  0.8798  0.6260
Li  0.7560  0.7624  0.2387
Li  0.8791  0.6376  0.8823
Mn  0.5005  0.5065  0.4981
Mn  0.7512  0.2496  0.7525
Co  0.1280  0.8804  0.6296
Co  0.2431  0.7568  0.2414
Co  0.3692  0.6311  0.8761
Co  0.6247  0.3769  0.1241
Co  0.8734  0.1264  0.3638
O  0.0513  0.1802  0.5785
O  0.0860  0.6808  0.0583
O  0.1768  0.0615  0.2026
O  0.1959  0.5773  0.6693
O  0.3116  0.9174  0.8124
O  0.3408  0.4534  0.3213
O  0.4280  0.8030  0.4456
O  0.4455  0.3242  0.9223
O  0.5500  0.6771  0.0735
O  0.5841  0.2063  0.5638
O  0.6636  0.5510  0.6808
O  0.6835  0.0903  0.1871
O  0.8041  0.4325  0.3254
O  0.8188  0.9511  0.7943
O  0.9001  0.3183  0.9253
O  0.9511  0.8310  0.4190

Top 8 peaks for 2θ = 10–80°, by angle:
d_spacing, I (rel.)
4.811, 100
2.556, 18
2.447, 24
2.142, 30
2.033, 26
2.028, 25
1.906, 9
1.476, 15

=====

Fe3OF5: computed XRD peak list (Cu Kα), based on a crystal structure in the Materials Project, relaxed with PBE+U.

Atomic structure:
a b c (Å): 4.8282 4.8282 9.5863
angles (deg): 90.15 90.15 92.34
Positions (direct):
Fe  0.0000  0.0000  0.0000
Fe  0.0064  0.0064  0.6752
Fe  0.4699  0.4699  0.8386
Fe  0.5000  0.5000  0.5000
Fe  0.5301  0.5301  0.1614
Fe  0.9936  0.9936  0.3248
O  0.1844  0.1844  0.8496
O  0.8156  0.8156  0.1504
F  0.1924  0.1924  0.4973
F  0.2184  0.2184  0.1545
F  0.2990  0.6872  0.6723
F  0.2999  0.7001  0.0000
F  0.3128  0.7010  0.3277
F  0.6872  0.2990  0.6723
F  0.7001  0.2999  0.0000
F  0.7010  0.3128  0.3277
F  0.7816  0.7816  0.8455
F  0.8076  0.8076  0.5027

Top 8 peaks for 2θ = 10–80°, by angle:
d_spacing, I (rel.)
3.483, 97
3.344, 87
2.664, 100
1.808, 65
1.771, 24
1.765, 26
1.438, 26
1.435, 22

=====

MnO2: computed XRD peak list (Cu Kα), based on a crystal structure in the Materials Project, relaxed with PBE+U.

Atomic structure:
a b c (Å): 2.9233 2.9233 10.5820
angles (deg): 90.00 90.00 120.00
Positions (direct):
Mn  0.0000  0.0000  0.0000
Mn  0.0000  0.0000  0.5000
O  0.3333  0.6667  0.0908
O  0.3333  0.6667  0.4092
O  0.6667  0.3333  0.5908
O  0.6667  0.3333  0.9092

Top 8 peaks for 2θ = 10–80°, by angle:
d_spacing, I (rel.)
5.291, 100
2.532, 13
2.284, 31
2.057, 7
1.829, 26
1.462, 9
1.447, 12
1.409, 11